# U3Ga2Si3
Simulated X-ray powder pattern, Cu Kα. Input: a PBE-relaxed structure.

Cell and atoms:
```
16
Lattice="-3.7971 3.7971 5.4557 3.7971 -3.7971 5.4557 3.7971 3.7971 -5.4557" Properties=species:S:1:pos:R:3 pbc="T T T"
U 0.0000 0.0000 0.0000
U 2.6174 -1.1798 3.0216
U 4.9769 1.1798 3.0216
U 0.0000 0.0000 5.4557
U 1.1798 2.6174 3.0216
U -1.1798 4.9769 3.0216
Ga 2.7077 1.0895 0.9260
Ga 2.7077 -1.0895 6.3816
Ga 1.0895 4.8866 0.9260
Ga 1.0895 2.7077 6.3816
Si 4.9012 1.1041 -0.4443
Si 0.0000 0.0000 2.7286
Si 1.1041 2.6931 -0.4443
Si 2.6931 1.1041 5.0114
Si 0.0000 0.0000 8.1843
Si -1.1041 2.6931 5.0114
```

Largest 12 diffraction maxima, in order of rising 2θ, 15° ≤ 2θ ≤ 90°:
| Position (°2θ) | intensity |
| --- | --- |
| 23.24 | 50 |
| 27.51 | 73 |
| 28.64 | 41 |
| 32.83 | 30 |
| 33.37 | 14 |
| 36.19 | 100 |
| 37.45 | 72 |
| 50.21 | 14 |
| 50.64 | 35 |
| 50.95 | 18 |
| 53.94 | 30 |
| 71.83 | 31 |

---

# PaBeRuN
Simulated X-ray powder pattern, Cu Kα. Input: a PBE-relaxed structure.

Cell and atoms:
```
8
Lattice="3.6677 0.0000 0.0000 0.0000 3.6677 0.0000 0.0000 0.0000 8.0716" Properties=species:S:1:pos:R:3 pbc="T T T"
Pa 0.9169 0.9169 1.3287
Pa 2.7508 2.7508 6.7429
Be 0.9169 0.9169 5.4766
Be 2.7508 2.7508 2.5950
Ru 0.9169 2.7508 4.0358
Ru 2.7508 0.9169 4.0358
N 0.9169 0.9169 7.1102
N 2.7508 2.7508 0.9614
```

Largest 12 diffraction maxima, in order of rising 2θ, 15° ≤ 2θ ≤ 90°:
| Position (°2θ) | intensity |
| --- | --- |
| 26.70 | 100 |
| 33.00 | 66 |
| 33.30 | 50 |
| 34.59 | 17 |
| 36.39 | 73 |
| 41.38 | 46 |
| 49.72 | 36 |
| 51.70 | 21 |
| 57.32 | 26 |
| 57.90 | 21 |
| 60.97 | 25 |
| 61.16 | 35 |